Sr3Nb2FeO9: theoretical powder diffraction line list (Cu Kα (weighted mean of Kα1 and Kα2)), based on a crystal structure in Alexandria, relaxed with GGA+U.

Most intense lines, 15 to 90 degrees two-theta, in order of rising 2θ:
2θ = 30.94°, rel. 100, (1 1 0); 2θ = 31.07°, rel. 98, (0 1 2); 2θ = 44.42°, rel. 71, (2 0 2); 2θ = 55.08°, rel. 58, (3 0 0); 2θ = 64.47°, rel. 21, (2 2 0); 2θ = 64.78°, rel. 21, (0 2 4)

Atomic structure:
Cell: 5.7813 5.7813 7.0358 Å, 90.00 90.00 120.00°
Space group P-3m1 (No. 164)
Inequivalent atoms, fractional coordinates:
Sr  0.0000  0.0000  0.0000 [1 per cell]
Sr  0.3333  0.6667  0.6670 [2 per cell]
Nb  0.3333  0.6667  0.1791 [2 per cell]
Fe  0.0000  0.0000  0.5000 [1 per cell]
O  0.0000  0.5000  0.0000 [3 per cell]
O  0.1705  0.3411  0.3281 [6 per cell]